Starting from a crystal structure in OQMD, relaxed with PBE, the powder diffraction line list of Ta4Nb2Bi3N3 was computed for Cu Kα (λ = 1.5418 Å).

Cell: 5.943 5.943 13.742 Å, 101.70 101.70 60.68°
Positions (direct):
Ta  0.001  0.799  0.929
Ta  0.167  0.299  0.430
Ta  0.201  0.999  0.571
Ta  0.299  0.167  0.930
Ta  0.701  0.833  0.070
Ta  0.799  0.001  0.429
Ta  0.833  0.701  0.570
Ta  0.999  0.201  0.071
Nb  0.368  0.539  0.077
Nb  0.461  0.632  0.423
Nb  0.539  0.368  0.577
Nb  0.632  0.461  0.923
Bi  0.077  0.923  0.250
Bi  0.245  0.416  0.750
Bi  0.416  0.245  0.250
Bi  0.584  0.755  0.750
Bi  0.755  0.584  0.250
Bi  0.923  0.077  0.750
N  0.000  0.500  0.000
N  0.149  0.665  0.500
N  0.335  0.851  0.000
N  0.500  0.000  0.500
N  0.665  0.149  0.000
N  0.851  0.335  0.500

Most intense lines, 10 to 90 degrees two-theta, in order of rising 2θ:
d = 2.971 Å, 30.1°, rel. 50; d = 2.489 Å, 36.1°, rel. 100; d = 2.486 Å, 36.1°, rel. 97; d = 2.457 Å, 36.6°, rel. 98; d = 2.226 Å, 40.5°, rel. 43; d = 1.727 Å, 53.0°, rel. 46